Starting from a DFT-relaxed cell (GGA-PBE, Alexandria), the powder XRD pattern of Sc2MnFeGe2 was calculated for Cu Kα X-rays.
No peak broadening, texture or thermal motion is included.

Main lines, sorted by position (2θ = 5–70°):
- 2θ 13.0, rel. 345
- 2θ 26.9, rel. 201
- 2θ 33.4, rel. 170
- 2θ 35.4, rel. 187
- 2θ 35.9, rel. 404
- 2θ 39.6, rel. 99
- 2θ 42.9, rel. 1000
- 2θ 46.6, rel. 197
- 2θ 47.9, rel. 476
- 2θ 69.0, rel. 118

Structural model:
```
12
Lattice="-2.6835 6.8196 2.6863 2.6835 -6.8196 2.6863 2.6835 6.8196 -2.6863" Properties=species:S:1:pos:R:3 pbc="T T T"
Sc 1.3361 2.2932 0.0000
Sc 1.3361 -2.2932 2.6863
Sc 1.3474 9.1128 0.0000
Sc 1.3474 4.5263 2.6863
Mn 2.6835 0.0000 1.3432
Mn 0.0000 6.8196 1.3432
Fe 0.0000 0.0000 1.3432
Fe 0.0000 0.0000 4.0295
Ge 4.0346 1.6280 0.0000
Ge 1.3511 5.1916 0.0000
Ge 1.3324 1.6280 2.6863
Ge -1.3511 5.1916 2.6863
```